Diffraction record for K2MoPO6. The XRD peak list is computed, not measured: it uses a structure optimized by DFT (PBE+U) and a wavelength of 1.5418 Å.

Principal peaks in the range 2θ = 10–90°, sorted by position:
| 2θ/deg | I/Imax |
| --- | --- |
| 14.7 | 61 |
| 19.3 | 100 |
| 28.3 | 91 |
| 29.6 | 45 |
| 30.3 | 96 |
| 36.0 | 44 |
| 38.5 | 40 |
| 42.7 | 29 |
| 47.3 | 28 |
| 51.7 | 39 |

```
K2MoPO6
1.0
0.000 6.032 3.702
3.376 0.000 3.702
3.376 6.032 0.000
K Mo P O
2 1 1 6
Direct
0.000 0.000 0.500 K
0.500 0.500 0.000 K
0.363 0.363 0.637 Mo
0.758 0.758 0.242 P
0.068 0.699 0.932 O
0.117 0.380 0.620 O
0.380 0.117 0.883 O
0.525 0.726 0.274 O
0.699 0.068 0.301 O
0.726 0.525 0.475 O
```